No. 1
The following is a calculated powder XRD pattern of Na2Ti6O13. It was derived from a cell relaxed with GGA-PBE, using Cu Kα (λ = 1.5418 Å).
No peak broadening, texture or thermal motion is included.

Atomic structure:
```
data_Na2Ti6O13
_chemical_formula_sum 'Na2 Ti6 O13'
_cell_length_a 7.866
_cell_length_b 7.866
_cell_length_c 9.292
_cell_angle_alpha 98.79
_cell_angle_beta 98.79
_cell_angle_gamma 27.66
_space_group_name_H-M_alt 'P 1'
_space_group_IT_number 1
_space_group_name_Hall 'P 1'
loop_
_atom_site_label
_atom_site_fract_x
_atom_site_fract_y
_atom_site_fract_z
Na1 0.037 0.037 0.230
Na2 0.963 0.963 0.770
Ti1 0.273 0.273 0.730
Ti2 0.334 0.334 0.065
Ti3 0.385 0.385 0.405
Ti4 0.615 0.615 0.595
Ti5 0.666 0.666 0.935
Ti6 0.727 0.727 0.270
O1 0.144 0.144 0.618
O2 0.202 0.202 0.929
O3 0.259 0.259 0.254
O4 0.338 0.338 0.588
O5 0.374 0.374 0.886
O6 0.430 0.430 0.208
O7 0.500 0.500 0.500
O8 0.570 0.570 0.792
O9 0.626 0.626 0.114
O10 0.662 0.662 0.412
O11 0.741 0.741 0.746
O12 0.798 0.798 0.071
O13 0.856 0.856 0.382
```

Main lines, by angle (2θ from 10° to 80°):
d (Å)	two_theta	I_rel
7.543	11.73	100
6.337	13.98	50
3.649	24.39	43
3.008	29.70	98
2.945	30.35	39
2.712	33.04	41
2.113	42.79	33
2.072	43.69	24
1.880	48.41	38
1.654	55.55	23

No. 2
The following is a calculated powder XRD pattern of NaTi2O4. It was derived from a cell relaxed with GGA-PBE, using Cu Kα (λ = 1.5418 Å).
No peak broadening, texture or thermal motion is included.

Atomic structure:
```
data_NaTi2O4
_chemical_formula_sum 'Na4 Ti8 O16'
_cell_length_a 7.671
_cell_length_b 10.597
_cell_length_c 9.274
_cell_angle_alpha 90.00
_cell_angle_beta 90.00
_cell_angle_gamma 90.00
_space_group_name_H-M_alt 'P 1'
_space_group_IT_number 1
_space_group_name_Hall 'P 1'
loop_
_atom_site_label
_atom_site_fract_x
_atom_site_fract_y
_atom_site_fract_z
Na1 0.197 0.250 0.060
Na2 0.303 0.750 0.560
Na3 0.697 0.250 0.440
Na4 0.803 0.750 0.940
Ti1 0.046 0.750 0.246
Ti2 0.193 0.250 0.481
Ti3 0.307 0.750 0.981
Ti4 0.454 0.250 0.746
Ti5 0.546 0.750 0.254
Ti6 0.693 0.250 0.019
Ti7 0.807 0.750 0.519
Ti8 0.954 0.250 0.754
O1 0.036 0.750 0.455
O2 0.073 0.750 0.040
O3 0.186 0.250 0.300
O4 0.199 0.250 0.754
O5 0.301 0.750 0.254
O6 0.314 0.750 0.800
O7 0.427 0.250 0.540
O8 0.464 0.250 0.955
O9 0.536 0.750 0.045
O10 0.573 0.750 0.460
O11 0.686 0.250 0.200
O12 0.699 0.250 0.746
O13 0.801 0.750 0.246
O14 0.814 0.750 0.700
O15 0.927 0.250 0.960
O16 0.964 0.250 0.545
```

Main lines, by angle (2θ from 10° to 80°):
d (Å)	two_theta	I_rel
6.979	12.68	20
5.299	16.73	100
5.162	17.18	11
3.361	26.52	11
2.968	30.11	6
2.949	30.31	7
2.649	33.83	15
2.124	42.57	9
1.887	48.22	9
1.685	54.44	6

No. 3
The following is a calculated powder XRD pattern of Na4Ti5O12. It was derived from a cell relaxed with GGA-PBE, using Cu Kα (λ = 1.5418 Å).
No peak broadening, texture or thermal motion is included.

Atomic structure:
```
data_Na4Ti5O12
_chemical_formula_sum 'Na8 Ti10 O24'
_cell_length_a 5.956
_cell_length_b 6.453
_cell_length_c 13.436
_cell_angle_alpha 95.87
_cell_angle_beta 96.36
_cell_angle_gamma 90.01
_space_group_name_H-M_alt 'P 1'
_space_group_IT_number 1
_space_group_name_Hall 'P 1'
loop_
_atom_site_label
_atom_site_fract_x
_atom_site_fract_y
_atom_site_fract_z
Na1 0.154 0.400 0.115
Na2 0.201 0.675 0.303
Na3 0.280 0.408 0.620
Na4 0.344 0.589 0.876
Na5 0.656 0.411 0.124
Na6 0.720 0.592 0.380
Na7 0.799 0.325 0.697
Na8 0.846 0.600 0.885
Ti1 0.046 0.835 0.689
Ti2 0.148 0.902 0.084
Ti3 0.248 0.981 0.493
Ti4 0.353 0.098 0.911
Ti5 0.451 0.165 0.311
Ti6 0.549 0.835 0.689
Ti7 0.647 0.902 0.089
Ti8 0.752 0.019 0.507
Ti9 0.852 0.098 0.916
Ti10 0.954 0.165 0.311
O1 0.018 0.123 0.584
O2 0.058 0.598 0.739
O3 0.102 0.286 0.910
O4 0.109 0.885 0.937
O5 0.183 0.009 0.230
O6 0.227 0.225 0.410
O7 0.273 0.771 0.592
O8 0.318 0.985 0.771
O9 0.390 0.113 0.063
O10 0.397 0.713 0.092
O11 0.438 0.402 0.261
O12 0.476 0.877 0.416
O13 0.524 0.123 0.584
O14 0.562 0.598 0.739
O15 0.603 0.287 0.908
O16 0.610 0.887 0.937
O17 0.682 0.015 0.229
O18 0.727 0.229 0.408
O19 0.773 0.775 0.590
O20 0.817 0.991 0.770
O21 0.891 0.115 0.063
O22 0.898 0.714 0.090
O23 0.942 0.402 0.261
O24 0.982 0.877 0.416
```

Main lines, by angle (2θ from 10° to 80°):
d (Å)	two_theta	I_rel
6.419	13.80	100
4.395	20.21	39
2.780	32.20	17
2.736	32.74	23
2.657	33.74	25
2.598	34.53	29
2.188	41.26	28
2.156	41.90	48
1.743	52.49	16
1.699	53.97	19

No. 4
The following is a calculated powder XRD pattern of Na2Ti12O25. It was derived from a cell relaxed with GGA-PBE, using Cu Kα (λ = 1.5418 Å).
No peak broadening, texture or thermal motion is included.

Atomic structure:
```
data_Na2Ti12O25
_chemical_formula_sum 'Na2 Ti12 O25'
_cell_length_a 9.385
_cell_length_b 3.756
_cell_length_c 14.639
_cell_angle_alpha 90.00
_cell_angle_beta 105.78
_cell_angle_gamma 90.00
_space_group_name_H-M_alt 'P 1'
_space_group_IT_number 1
_space_group_name_Hall 'P 1'
loop_
_atom_site_label
_atom_site_fract_x
_atom_site_fract_y
_atom_site_fract_z
Na1 0.206 0.000 0.458
Na2 0.794 0.000 0.542
Ti1 0.106 0.500 0.257
Ti2 0.139 0.000 0.093
Ti3 0.181 0.000 0.854
Ti4 0.185 0.500 0.676
Ti5 0.468 0.000 0.796
Ti6 0.490 0.500 0.624
Ti7 0.510 0.500 0.376
Ti8 0.532 0.000 0.204
Ti9 0.815 0.500 0.324
Ti10 0.819 0.000 0.146
Ti11 0.861 0.000 0.907
Ti12 0.894 0.500 0.743
O1 0.020 0.500 0.364
O2 0.068 0.000 0.221
O3 0.107 0.000 0.961
O4 0.127 0.500 0.121
O5 0.142 0.500 0.817
O6 0.217 0.000 0.716
O7 0.261 0.500 0.576
O8 0.293 0.500 0.326
O9 0.342 0.000 0.136
O10 0.378 0.000 0.895
O11 0.429 0.500 0.758
O12 0.489 0.000 0.656
O13 0.500 0.500 0.500
O14 0.511 0.000 0.344
O15 0.571 0.500 0.242
O16 0.622 0.000 0.105
O17 0.658 0.000 0.864
O18 0.707 0.500 0.674
O19 0.739 0.500 0.424
O20 0.783 0.000 0.284
O21 0.858 0.500 0.183
O22 0.873 0.500 0.879
O23 0.893 0.000 0.039
O24 0.932 0.000 0.779
O25 0.980 0.500 0.636
```

Main lines, by angle (2θ from 10° to 80°):
d (Å)	two_theta	I_rel
7.044	12.57	100
6.808	13.00	59
3.629	24.53	68
3.010	29.68	48
2.990	29.88	30
2.934	30.46	44
2.750	32.56	39
2.140	42.23	34
2.058	44.00	28
1.878	48.47	39

No. 5
The following is a calculated powder XRD pattern of NaTi8O13. It was derived from a cell relaxed with GGA-PBE, using Cu Kα (λ = 1.5418 Å).
No peak broadening, texture or thermal motion is included.

Atomic structure:
```
data_NaTi8O13
_chemical_formula_sum 'Na1 Ti8 O13'
_cell_length_a 6.497
_cell_length_b 6.497
_cell_length_c 6.497
_cell_angle_alpha 73.51
_cell_angle_beta 73.51
_cell_angle_gamma 73.51
_space_group_name_H-M_alt 'P 1'
_space_group_IT_number 1
_space_group_name_Hall 'P 1'
loop_
_atom_site_label
_atom_site_fract_x
_atom_site_fract_y
_atom_site_fract_z
Na1 0.000 0.000 0.000
Ti1 0.184 0.625 0.449
Ti2 0.229 0.229 0.229
Ti3 0.375 0.551 0.816
Ti4 0.449 0.184 0.625
Ti5 0.551 0.816 0.375
Ti6 0.625 0.449 0.184
Ti7 0.771 0.771 0.771
Ti8 0.816 0.375 0.551
O1 0.079 0.677 0.765
O2 0.143 0.294 0.548
O3 0.235 0.921 0.323
O4 0.294 0.548 0.143
O5 0.323 0.235 0.921
O6 0.452 0.857 0.706
O7 0.500 0.500 0.500
O8 0.548 0.143 0.294
O9 0.677 0.765 0.079
O10 0.706 0.452 0.857
O11 0.765 0.079 0.677
O12 0.857 0.706 0.452
O13 0.921 0.323 0.235
```

Main lines, by angle (2θ from 10° to 80°):
d (Å)	two_theta	I_rel
6.075	14.58	60
3.274	27.24	25
2.995	29.84	45
2.599	34.50	15
2.504	35.86	12
2.393	37.58	10
2.063	43.89	100
1.579	58.46	9
1.469	63.30	28
1.448	64.33	22

No. 6
The following is a calculated powder XRD pattern of Na3Ti8O16. It was derived from a cell relaxed with GGA-PBE, using Cu Kα (λ = 1.5418 Å).
No peak broadening, texture or thermal motion is included.

Atomic structure:
```
data_Na3Ti8O16
_chemical_formula_sum 'Na6 Ti16 O32'
_cell_length_a 6.125
_cell_length_b 12.264
_cell_length_c 8.662
_cell_angle_alpha 90.00
_cell_angle_beta 90.00
_cell_angle_gamma 90.00
_space_group_name_H-M_alt 'P 1'
_space_group_IT_number 1
_space_group_name_Hall 'P 1'
loop_
_atom_site_label
_atom_site_fract_x
_atom_site_fract_y
_atom_site_fract_z
Na1 0.250 0.001 0.126
Na2 0.250 0.499 0.126
Na3 0.250 0.750 0.377
Na4 0.750 0.250 0.623
Na5 0.750 0.501 0.874
Na6 0.750 0.999 0.874
Ti1 0.000 0.000 0.500
Ti2 0.000 0.500 0.500
Ti3 0.004 0.250 0.005
Ti4 0.250 0.126 0.742
Ti5 0.250 0.374 0.742
Ti6 0.250 0.628 0.748
Ti7 0.250 0.872 0.748
Ti8 0.496 0.250 0.005
Ti9 0.500 0.000 0.500
Ti10 0.500 0.500 0.500
Ti11 0.504 0.750 0.995
Ti12 0.750 0.128 0.252
Ti13 0.750 0.372 0.252
Ti14 0.750 0.626 0.258
Ti15 0.750 0.874 0.258
Ti16 0.996 0.750 0.995
O1 0.035 0.750 0.767
O2 0.036 0.250 0.769
O3 0.038 0.001 0.731
O4 0.038 0.499 0.731
O5 0.250 0.107 0.517
O6 0.250 0.143 0.981
O7 0.250 0.357 0.981
O8 0.250 0.393 0.517
O9 0.250 0.606 0.518
O10 0.250 0.643 0.981
O11 0.250 0.857 0.981
O12 0.250 0.894 0.518
O13 0.462 0.001 0.731
O14 0.462 0.499 0.731
O15 0.464 0.250 0.769
O16 0.465 0.750 0.767
O17 0.535 0.250 0.233
O18 0.536 0.750 0.231
O19 0.538 0.501 0.269
O20 0.538 0.999 0.269
O21 0.750 0.106 0.482
O22 0.750 0.143 0.019
O23 0.750 0.357 0.019
O24 0.750 0.394 0.482
O25 0.750 0.607 0.483
O26 0.750 0.643 0.019
O27 0.750 0.857 0.019
O28 0.750 0.893 0.483
O29 0.962 0.501 0.269
O30 0.962 0.999 0.269
O31 0.964 0.750 0.231
O32 0.965 0.250 0.233
```

Main lines, by angle (2θ from 10° to 80°):
d (Å)	two_theta	I_rel
5.003	17.73	100
3.064	29.15	9
2.613	34.32	76
2.502	35.90	8
2.166	41.69	60
1.668	55.07	38
1.532	60.43	50
1.465	63.51	12
1.321	71.38	8
1.251	76.10	8

No. 7
The following is a calculated powder XRD pattern of Na4Ti3O8. It was derived from a cell relaxed with GGA-PBE, using Cu Kα (λ = 1.5418 Å).
No peak broadening, texture or thermal motion is included.

Atomic structure:
```
data_Na4Ti3O8
_chemical_formula_sum 'Na4 Ti3 O8'
_cell_length_a 6.114
_cell_length_b 6.114
_cell_length_c 6.541
_cell_angle_alpha 118.29
_cell_angle_beta 118.29
_cell_angle_gamma 60.50
_space_group_name_H-M_alt 'P 1'
_space_group_IT_number 1
_space_group_name_Hall 'P 1'
loop_
_atom_site_label
_atom_site_fract_x
_atom_site_fract_y
_atom_site_fract_z
Na1 0.000 0.000 0.000
Na2 0.000 0.500 0.000
Na3 0.500 0.000 0.000
Na4 0.500 0.500 0.500
Ti1 0.000 0.000 0.500
Ti2 0.000 0.500 0.500
Ti3 0.500 0.000 0.500
O1 0.193 0.750 0.687
O2 0.234 0.234 0.700
O3 0.250 0.807 0.313
O4 0.252 0.252 0.306
O5 0.748 0.748 0.694
O6 0.750 0.193 0.687
O7 0.766 0.766 0.300
O8 0.807 0.250 0.313
```

Main lines, by angle (2θ from 10° to 80°):
d (Å)	two_theta	I_rel
5.468	16.21	97
5.052	17.55	31
2.734	32.76	15
2.525	35.56	24
2.238	40.29	100
2.208	40.88	48
1.629	56.48	13
1.619	56.86	25
1.540	60.08	13
1.528	60.59	26

No. 8
The following is a calculated powder XRD pattern of Na5Ti12O24. It was derived from a cell relaxed with GGA-PBE, using Cu Kα (λ = 1.5418 Å).
No peak broadening, texture or thermal motion is included.

Atomic structure:
```
data_Na5Ti12O24
_chemical_formula_sum 'Na5 Ti12 O24'
_cell_length_a 5.520
_cell_length_b 8.977
_cell_length_c 9.532
_cell_angle_alpha 90.00
_cell_angle_beta 90.15
_cell_angle_gamma 90.00
_space_group_name_H-M_alt 'P 1'
_space_group_IT_number 1
_space_group_name_Hall 'P 1'
loop_
_atom_site_label
_atom_site_fract_x
_atom_site_fract_y
_atom_site_fract_z
Na1 0.000 0.000 0.000
Na2 0.007 0.335 0.003
Na3 0.007 0.665 0.003
Na4 0.424 0.000 0.505
Na5 0.504 0.500 0.459
Ti1 0.448 0.000 0.838
Ti2 0.455 0.334 0.832
Ti3 0.455 0.666 0.832
Ti4 0.474 0.171 0.128
Ti5 0.474 0.829 0.128
Ti6 0.482 0.500 0.126
Ti7 0.947 0.173 0.626
Ti8 0.947 0.827 0.626
Ti9 0.957 0.500 0.628
Ti10 0.972 0.000 0.336
Ti11 0.979 0.325 0.343
Ti12 0.979 0.675 0.343
O1 0.122 0.500 0.443
O2 0.145 0.170 0.445
O3 0.145 0.830 0.445
O4 0.157 0.332 0.709
O5 0.157 0.668 0.709
O6 0.163 0.000 0.707
O7 0.261 0.336 0.204
O8 0.261 0.664 0.204
O9 0.263 0.000 0.207
O10 0.282 0.167 0.943
O11 0.282 0.833 0.943
O12 0.286 0.500 0.939
O13 0.621 0.000 0.022
O14 0.627 0.331 0.014
O15 0.627 0.669 0.014
O16 0.661 0.162 0.756
O17 0.661 0.500 0.751
O18 0.661 0.838 0.756
O19 0.764 0.500 0.253
O20 0.776 0.168 0.248
O21 0.776 0.832 0.248
O22 0.782 0.329 0.519
O23 0.782 0.671 0.519
O24 0.806 0.000 0.520
```

Main lines, by angle (2θ from 10° to 80°):
d (Å)	two_theta	I_rel
4.776	18.58	100
2.758	32.47	50
2.750	32.55	33
2.535	35.40	66
2.303	39.11	24
1.867	48.78	42
1.547	59.80	26
1.544	59.92	24
1.496	62.03	13
1.315	71.79	14